[1]
This entry pairs a crystal structure of HoB12 with its computed powder diffraction line list. Radiation: CuKα. Structure: the GGA-PBE geometry in the Materials Project.
Neutral-atom scattering factors, no anomalous dispersion.

Main lines, by angle (10° ≤ 2θ ≤ 80°):
d/Å, intensity, hkl
4.324, 95.6, 1 1 1
3.745, 73.0, 2 0 0
2.648, 43.1, 2 2 0
2.258, 100.0, 3 1 1
1.718, 33.3, 3 3 1
1.266, 30.8, 5 3 1

Crystal structure
```
data_HoB12
_cell_length_a 7.489
_cell_length_b 7.489
_cell_length_c 7.489
_cell_angle_alpha 90.00
_cell_angle_beta 90.00
_cell_angle_gamma 90.00
_symmetry_space_group_name_H-M 'F m -3 m'
_symmetry_Int_Tables_number 225
_symmetry_space_group_name_Hall '-F 4 2 3'
loop_
_atom_site_label
_atom_site_type_symbol
_atom_site_fract_x
_atom_site_fract_y
_atom_site_fract_z
Ho1 Ho 0.000 0.000 0.000
B1 B 0.000 0.169 0.331
```


[2]
This entry pairs a crystal structure of HoB2Ir3 with its computed powder diffraction line list. Radiation: CuKα. Structure: the GGA-PBE geometry in the Materials Project.
Neutral-atom scattering factors, no anomalous dispersion.

Main lines, by angle (10° ≤ 2θ ≤ 80°):
d/Å, intensity, hkl
2.621, 60.1, 1 0 1
2.368, 100.0, 2 0 0
2.064, 34.5, 1 1 1
1.892, 33.6, 2 0 1
1.556, 25.2, 2 1 1
1.310, 31.4, 2 0 2

Crystal structure
```
data_HoB2Ir3
_cell_length_a 5.4684
_cell_length_b 5.4684
_cell_length_c 3.1462
_cell_angle_alpha 90.00
_cell_angle_beta 90.00
_cell_angle_gamma 120.00
_symmetry_space_group_name_H-M 'P 6/m m m'
_symmetry_Int_Tables_number 191
_symmetry_space_group_name_Hall '-P 6 2'
loop_
_atom_site_label
_atom_site_type_symbol
_atom_site_fract_x
_atom_site_fract_y
_atom_site_fract_z
Ho1 Ho 0.0000 0.0000 0.0000
B1 B 0.3333 0.6667 0.0000
Ir1 Ir 0.0000 0.5000 0.5000
```


[3]
This entry pairs a crystal structure of HoB3Mo with its computed powder diffraction line list. Radiation: CuKα. Structure: the GGA-PBE geometry in the Materials Project.
Neutral-atom scattering factors, no anomalous dispersion.

Main lines, by angle (10° ≤ 2θ ≤ 80°):
d/Å, intensity, hkl
3.344, 73.6, 0 0 2
2.722, 100.0, 1 1 0
2.672, 30.3, 2 0 -1
2.316, 27.5, 2 0 1
2.229, 75.6, 1 1 -2
2.010, 33.6, 1 1 2

Crystal structure
```
data_HoB3Mo
_cell_length_a 5.447
_cell_length_b 3.166
_cell_length_c 6.835
_cell_angle_alpha 90.00
_cell_angle_beta 101.92
_cell_angle_gamma 90.00
_symmetry_space_group_name_H-M 'P 1 21/m 1'
_symmetry_Int_Tables_number 11
_symmetry_space_group_name_Hall '-P 2yb'
loop_
_atom_site_label
_atom_site_type_symbol
_atom_site_fract_x
_atom_site_fract_y
_atom_site_fract_z
Ho1 Ho 0.176 0.250 0.210
B1 B 0.084 0.750 0.493
B2 B 0.412 0.750 0.495
B3 B 0.420 0.750 0.976
Mo1 Mo 0.311 0.250 0.720
```


[4]
This entry pairs a crystal structure of HoB7Mo3 with its computed powder diffraction line list. Radiation: CuKα. Structure: the GGA-PBE geometry in the Materials Project.
Neutral-atom scattering factors, no anomalous dispersion.

Main lines, by angle (10° ≤ 2θ ≤ 80°):
d/Å, intensity, hkl
3.092, 64.2, 1 0 4
2.707, 100.0, 2 1 0
2.698, 58.4, 4 0 1
2.649, 61.9, 2 1 1
2.191, 86.0, 1 1 4
2.077, 40.6, 3 1 3

Crystal structure
```
data_HoB7Mo3
_cell_length_a 11.035
_cell_length_b 3.106
_cell_length_c 12.886
_cell_angle_alpha 90.00
_cell_angle_beta 90.00
_cell_angle_gamma 90.00
_symmetry_space_group_name_H-M 'P n m a'
_symmetry_Int_Tables_number 62
_symmetry_space_group_name_Hall '-P 2ac 2n'
loop_
_atom_site_label
_atom_site_type_symbol
_atom_site_fract_x
_atom_site_fract_y
_atom_site_fract_z
Ho1 Ho 0.051 0.250 0.192
B1 B 0.010 0.750 0.362
B2 B 0.037 0.750 0.018
B3 B 0.068 0.750 0.616
B4 B 0.166 0.750 0.332
B5 B 0.186 0.750 0.067
B6 B 0.231 0.750 0.581
B7 B 0.250 0.250 0.326
Mo1 Mo 0.117 0.250 0.473
Mo2 Mo 0.160 0.250 0.935
Mo3 Mo 0.185 0.250 0.702
```